For Ac4Ta3N10, a cell relaxed with PBE gives the simulated X-ray powder pattern in this record (λ = 1.5418 Å (Cu Kα)).
Peak positions follow from Bragg's law for the DFT cell and can differ from measured ones.

Crystal structure
```
Ac4Ta3N10
1.0
-2.0739 2.0739 14.8812
2.0739 -2.0739 14.8812
2.0739 2.0739 -14.8812
Ac Ta N
4 3 10
direct
0.0699 0.0699 0.0000 Ac
0.2020 0.2020 0.0000 Ac
0.7980 0.7980 0.0000 Ac
0.9301 0.9301 0.0000 Ac
0.3589 0.3589 0.0000 Ta
0.5000 0.5000 0.0000 Ta
0.6411 0.6411 0.0000 Ta
0.0000 0.5000 0.5000 N
0.1381 0.6381 0.5000 N
0.2893 0.2893 0.0000 N
0.3619 0.8619 0.5000 N
0.4308 0.4308 0.0000 N
0.5000 0.0000 0.5000 N
0.5692 0.5692 0.0000 N
0.6381 0.1381 0.5000 N
0.7107 0.7107 0.0000 N
0.8619 0.3619 0.5000 N
```

Most intense lines, 2θ = 10–80°, in order of falling intensity:
2θ (°)	d [Å]	intensity
30.10	2.969	100
30.48	2.933	55
53.93	1.700	41
43.64	2.074	26
53.21	1.721	17
62.57	1.485	12
71.99	1.312	10
42.52	2.126	10
71.79	1.315	9
63.43	1.466	8